Simulated powder XRD pattern
Compound: In2Bi2Pb3
Radiation: Cu Kα (weighted mean of Kα1 and Kα2)
Structure: the PBE geometry in Alexandria

Peak list (6 most intense, 5° ≤ 2θ ≤ 70°, in order of falling intensity)
hkl, 2θ/deg, intensity
1 7 0, 31.2, 1000
1 1 1, 31.5, 980
0 6 1, 31.3, 460
0 8 1, 36.2, 361
1 7 2, 58.9, 337
2 0 0, 40.9, 254

Atomic structure:
```
data_In2Bi2Pb3
_chemical_formula_sum 'In4 Bi4 Pb6'
_cell_length_a 4.4078
_cell_length_b 26.4670
_cell_length_c 3.7461
_cell_angle_alpha 90.00
_cell_angle_beta 90.00
_cell_angle_gamma 90.00
_space_group_name_H-M_alt 'C m m m'
_space_group_IT_number 65
_space_group_name_Hall '-C 2 2'
loop_
_atom_site_label
_atom_site_type_symbol
_atom_site_fract_x
_atom_site_fract_y
_atom_site_fract_z
In1 In 0.0000 0.2075 0.0000
Bi1 Bi 0.0000 0.3555 0.5000
Pb1 Pb 0.0000 0.0730 0.0000
Pb2 Pb 0.0000 0.5000 0.5000
```

Simulated powder XRD pattern
Compound: LuTlAu
Radiation: Cu Kα (weighted mean of Kα1 and Kα2)
Structure: the PBE geometry in Alexandria

Peak list (6 most intense, 5° ≤ 2θ ≤ 70°, in order of falling intensity)
hkl, 2θ/deg, intensity
1 0 3, 34.6, 1000
1 1 0, 35.6, 503
2 1 3, 63.3, 355
2 0 0, 51.2, 181
1 1 6, 61.2, 151
0 0 6, 48.1, 77

Atomic structure:
```
data_LuTlAu
_chemical_formula_sum 'Lu2 Tl2 Au2'
_cell_length_a 3.5663
_cell_length_b 3.5663
_cell_length_c 11.3527
_cell_angle_alpha 90.00
_cell_angle_beta 90.00
_cell_angle_gamma 90.00
_space_group_name_H-M_alt 'I 4 m m'
_space_group_IT_number 107
_space_group_name_Hall 'I 4 -2'
loop_
_atom_site_label
_atom_site_type_symbol
_atom_site_fract_x
_atom_site_fract_y
_atom_site_fract_z
Lu1 Lu 0.0000 0.0000 0.0000
Tl1 Tl 0.0000 0.0000 0.6971
Au1 Au 0.0000 0.0000 0.3690
```